The following is a calculated powder diffractogram of GdCu3S3. It was derived from a DFT-relaxed cell (PBE, the Materials Project), using λ = 1.5418 Å (Cu Kα).

a b c (Å): 6.7701 6.7701 19.3397
angles (deg): 90.00 90.00 120.00
Space group R-3 (No. 148, hexagonal axes)
Symmetry-distinct sites (fractional):
Gd: 0.0000 0.0000 0.1666 [6 per cell]
Cu: 0.9999 0.3343 0.6238 [18 per cell]
S: 0.0004 0.3326 0.4158 [18 per cell]

Most intense lines, 5° ≤ 2θ ≤ 70°, in order of rising 2θ:
| 2θ (°) | I (rel.) |
| --- | --- |
| 15.79 | 25.7 |
| 17.69 | 19.7 |
| 23.85 | 9.6 |
| 29.81 | 100.0 |
| 38.57 | 72.5 |
| 42.05 | 12.1 |
| 46.46 | 56.5 |
| 50.29 | 19.1 |
| 56.19 | 16.5 |
| 61.92 | 17.8 |
| 63.97 | 10.4 |
| 64.44 | 19.6 |

The following is a calculated powder diffractogram of BaSrPrNbO6. It was derived from a DFT-relaxed cell (PBE, the Materials Project), using λ = 1.5418 Å (Cu Kα).

a b c (Å): 8.609 8.615 8.626
angles (deg): 90.00 90.00 90.00
Space group P222 (No. 16)
Symmetry-distinct sites (fractional):
Ba: 0.000 0.000 0.000 [1 per cell]
Ba: 0.000 0.000 0.500 [1 per cell]
Ba: 0.000 0.500 0.000 [1 per cell]
Ba: 0.500 0.500 0.500 [1 per cell]
Sr: 0.000 0.500 0.500 [1 per cell]
Sr: 0.500 0.000 0.000 [1 per cell]
Sr: 0.500 0.000 0.500 [1 per cell]
Sr: 0.500 0.500 0.000 [1 per cell]
Pr: 0.252 0.252 0.750 [4 per cell]
Nb: 0.254 0.250 0.251 [4 per cell]
O: 0.021 0.276 0.218 [4 per cell]
O: 0.216 0.295 0.480 [4 per cell]
O: 0.221 0.019 0.279 [4 per cell]
O: 0.288 0.213 0.019 [4 per cell]
O: 0.294 0.478 0.211 [4 per cell]
O: 0.481 0.214 0.298 [4 per cell]

Most intense lines, 5° ≤ 2θ ≤ 70°, in order of rising 2θ:
| 2θ (°) | I (rel.) |
| --- | --- |
| 17.83 | 1.7 |
| 20.62 | 1.6 |
| 29.32 | 100.0 |
| 32.88 | 1.0 |
| 34.52 | 2.3 |
| 39.11 | 1.1 |
| 41.94 | 28.3 |
| 45.91 | 1.4 |
| 51.99 | 44.0 |
| 60.81 | 16.7 |
| 68.89 | 12.2 |
| 68.98 | 6.0 |

The following is a calculated powder diffractogram of U. It was derived from a DFT-relaxed cell (PBE, the Materials Project), using λ = 1.5418 Å (Cu Kα).

a b c (Å): 5.061 5.869 11.381
angles (deg): 90.00 90.00 90.00
Space group Pmmm (No. 47)
Symmetry-distinct sites (fractional):
U: 0.000 0.216 0.000 [2 per cell]
U: 0.000 0.223 0.249 [4 per cell]
U: 0.000 0.282 0.500 [2 per cell]
U: 0.500 0.223 0.376 [4 per cell]
U: 0.500 0.283 0.123 [4 per cell]

Most intense lines, 5° ≤ 2θ ≤ 70°, in order of rising 2θ:
| 2θ (°) | I (rel.) |
| --- | --- |
| 24.51 | 7.6 |
| 30.46 | 67.6 |
| 35.47 | 52.9 |
| 36.22 | 100.0 |
| 47.44 | 41.0 |
| 48.03 | 79.1 |
| 50.67 | 9.1 |
| 52.65 | 4.7 |
| 63.39 | 5.4 |
| 64.18 | 19.9 |
| 65.09 | 4.1 |
| 65.63 | 9.4 |